No. 1
The following is a simulated X-ray diffraction stick pattern of CaEr2Zn2. It was derived from a DFT-relaxed cell (PBE, Alexandria), using Cu Kα X-rays.

Structure:
```
data_CaEr2Zn2
_cell_length_a 3.6216
_cell_length_b 20.1787
_cell_length_c 3.5436
_cell_angle_alpha 90.00
_cell_angle_beta 90.00
_cell_angle_gamma 90.00
_symmetry_space_group_name_H-M 'C m m m'
_symmetry_Int_Tables_number 65
_symmetry_space_group_name_Hall '-C 2 2'
loop_
_atom_site_label
_atom_site_type_symbol
_atom_site_fract_x
_atom_site_fract_y
_atom_site_fract_z
Ca1 Ca 0.0000 0.0000 0.0000
Er1 Er 0.0000 0.1753 0.0000
Zn1 Zn 0.0000 0.4026 0.5000
```

Largest 10 diffraction maxima, by angle, 2θ from 15° to 90°:
| 2θ/deg | Rel. int. |
| --- | --- |
| 17.58 | 37 |
| 26.66 | 40 |
| 27.98 | 53 |
| 33.24 | 100 |
| 35.73 | 89 |
| 36.85 | 98 |
| 37.96 | 81 |
| 62.52 | 39 |
| 62.76 | 31 |
| 64.04 | 38 |



No. 2
The following is a simulated X-ray diffraction stick pattern of CaErZn. It was derived from a DFT-relaxed cell (PBE, Alexandria), using Cu Kα X-rays.

Structure:
```
data_CaErZn
_cell_length_a 4.7888
_cell_length_b 4.7888
_cell_length_c 7.6109
_cell_angle_alpha 90.00
_cell_angle_beta 90.00
_cell_angle_gamma 90.00
_symmetry_space_group_name_H-M 'P 4/n m m'
_symmetry_Int_Tables_number 129
loop_
_symmetry_equiv_pos_as_xyz
'x,y,z'
'-x,-y,-z'
'-y+1/2,x,z'
'y+1/2,-x,-z'
'-x+1/2,-y+1/2,z'
'x+1/2,y+1/2,-z'
'y,-x+1/2,z'
'-y,x+1/2,-z'
'x+1/2,-y,-z'
'-x+1/2,y,z'
'-y,-x,-z'
'y,x,z'
'-x,y+1/2,-z'
'x,-y+1/2,z'
'y+1/2,x+1/2,-z'
'-y+1/2,-x+1/2,z'
loop_
_atom_site_label
_atom_site_type_symbol
_atom_site_fract_x
_atom_site_fract_y
_atom_site_fract_z
Ca1 Ca 0.2500 0.2500 0.1350
Er1 Er 0.2500 0.7500 0.5000
Zn1 Zn 0.2500 0.2500 0.7294
```

Largest 10 diffraction maxima, by angle, 2θ from 15° to 90°:
| 2θ/deg | Rel. int. |
| --- | --- |
| 28.86 | 100 |
| 35.38 | 13 |
| 35.49 | 98 |
| 37.56 | 57 |
| 39.45 | 28 |
| 44.65 | 30 |
| 52.56 | 17 |
| 54.17 | 19 |
| 62.54 | 22 |
| 66.43 | 39 |



No. 3
The following is a simulated X-ray diffraction stick pattern of CaEu2. It was derived from a DFT-relaxed cell (PBE, Alexandria), using Cu Kα X-rays.

Structure:
```
data_CaEu2
_cell_length_a 4.4155
_cell_length_b 4.4155
_cell_length_c 13.1489
_cell_angle_alpha 90.00
_cell_angle_beta 90.00
_cell_angle_gamma 90.00
_symmetry_space_group_name_H-M 'I 4/m m m'
_symmetry_Int_Tables_number 139
_symmetry_space_group_name_Hall '-I 4 2'
loop_
_atom_site_label
_atom_site_type_symbol
_atom_site_fract_x
_atom_site_fract_y
_atom_site_fract_z
Ca1 Ca 0.0000 0.0000 0.0000
Eu1 Eu 0.0000 0.0000 0.3339
```

Largest 10 diffraction maxima, by angle, 2θ from 15° to 90°:
| 2θ/deg | Rel. int. |
| --- | --- |
| 21.23 | 20 |
| 28.59 | 50 |
| 28.70 | 100 |
| 40.88 | 19 |
| 50.71 | 41 |
| 50.91 | 20 |
| 59.43 | 13 |
| 67.05 | 17 |
| 81.63 | 10 |
| 81.79 | 10 |